Structure and theoretical PXRD pattern of TbSeClO3 (a crystal structure in the Materials Project, relaxed with GGA-PBE; Cu Kα (λ = 1.5418 Å)).
Peak positions follow from Bragg's law for the DFT cell and can differ from measured ones.

Most intense lines, 10 to 90 degrees two-theta, by angle:
2theta, Rel. int.
15.65, 1000
19.91, 320
23.35, 620
25.24, 950
27.42, 477
29.22, 382
32.50, 288
34.12, 444
40.34, 474
41.58, 328

Structural model:
```
TbSeClO3
1.0
7.3314 0.0000 0.0000
0.0000 7.0574 0.0000
0.0000 0.0000 8.9193
Tb Se Cl O
4 4 4 12
Cartesian
0.7763 1.7643 0.3497
2.8894 5.2930 4.8093
4.4420 1.7643 4.1100
6.5551 5.2930 8.5696
1.5413 1.7643 5.6396
2.1244 5.2930 1.1799
5.2070 1.7643 7.7394
5.7901 5.2930 3.2797
0.4149 5.2930 6.0800
3.2508 1.7643 1.6204
4.0806 5.2930 7.2989
6.9165 1.7643 2.8393
1.0380 4.0450 0.6005
1.0380 6.5411 0.6005
1.8193 5.2930 2.8536
1.8464 1.7643 7.3132
2.6277 0.5163 5.0601
2.6277 3.0124 5.0601
4.7037 4.0450 3.8591
4.7037 6.5411 3.8591
5.4851 5.2930 1.6061
5.5121 1.7643 6.0657
6.2934 0.5163 8.3188
6.2934 3.0124 8.3188
```



Structure and theoretical PXRD pattern of Tb5Se2Cl3O10 (a crystal structure in the Materials Project, relaxed with GGA-PBE; Cu Kα (λ = 1.5418 Å)).
Peak positions follow from Bragg's law for the DFT cell and can differ from measured ones.

Most intense lines, 10 to 90 degrees two-theta, by angle:
2theta, Rel. int.
25.33, 325
28.50, 882
32.53, 1000
34.64, 197
45.22, 223
48.23, 239
51.63, 144
55.56, 130
55.93, 129
58.03, 156

Structural model:
```
Tb5Se2Cl3O10
1.0
6.1412 -2.7550 0.0000
6.1412 2.7550 0.0000
-0.1714 0.0000 9.9062
Tb Se Cl O
5 2 3 10
Cartesian
0.0000 0.0000 0.0000
3.3627 0.0000 8.8837
4.8885 0.0000 2.3210
7.2225 0.0000 7.5852
8.7483 0.0000 1.0225
1.0806 0.0000 3.1318
11.0304 0.0000 6.7744
1.8958 0.0000 6.4343
6.0555 0.0000 4.9531
10.2152 0.0000 3.4719
4.3601 1.3544 0.5828
5.3207 1.4395 7.8835
2.7350 0.0000 2.8143
6.7903 1.4395 2.0226
7.7509 1.3544 9.3234
4.3601 -1.3544 0.5828
5.3207 -1.4395 7.8835
9.3760 0.0000 7.0918
6.7903 -1.4395 2.0226
7.7509 -1.3544 9.3234
```



Structure and theoretical PXRD pattern of Y3Se2ClO8 (a crystal structure in the Materials Project, relaxed with GGA-PBE; Cu Kα (λ = 1.5418 Å)).
Peak positions follow from Bragg's law for the DFT cell and can differ from measured ones.

Most intense lines, 10 to 90 degrees two-theta, by angle:
2theta, Rel. int.
25.41, 178
28.99, 1000
31.32, 249
32.06, 249
33.09, 136
34.20, 143
36.50, 119
49.35, 137
55.24, 139
58.55, 154

Structural model:
```
Y3Se2ClO8
1.0
5.5803 0.0000 0.0000
0.0000 14.7692 0.0000
0.0000 0.0000 11.1744
Y Se Cl O
12 8 4 32
Cartesian
0.3457 3.6923 1.6486
0.4202 0.9928 3.9837
0.4202 6.3918 3.9837
2.3699 8.3774 9.5709
2.3699 13.7764 9.5709
2.4444 11.0769 7.2357
3.1358 3.6923 3.9386
3.2103 0.9928 1.6035
3.2103 6.3918 1.6035
5.1601 8.3774 7.1907
5.1601 13.7764 7.1907
5.2346 11.0769 9.5258
0.5176 8.9874 1.3730
0.5176 13.1664 1.3730
2.2725 1.6028 6.9602
2.2725 5.7818 6.9602
3.3078 8.9874 4.2142
3.3078 13.1664 4.2142
5.0627 1.6028 9.8014
5.0627 5.7818 9.8014
0.3917 3.6923 5.3186
2.3985 11.0769 10.9058
3.1818 3.6923 0.2686
5.1886 11.0769 5.8558
0.3900 2.0104 11.1733
0.3900 5.3742 11.1733
0.4335 0.3353 9.0519
0.4335 7.0493 9.0519
0.9755 0.6713 6.2301
0.9755 6.7133 6.2301
1.0345 9.6363 8.3165
1.0345 12.5175 8.3165
1.7556 2.2517 2.7293
1.7556 5.1329 2.7293
1.8147 8.0559 0.6429
1.8147 14.0979 0.6429
2.3566 7.7199 3.4647
2.3566 14.4339 3.4647
2.4001 9.3950 5.5861
2.4001 12.7588 5.5861
3.1801 2.0104 5.5883
3.1801 5.3742 5.5883
3.2236 0.3353 7.7096
3.2236 7.0493 7.7096
3.7656 0.6713 10.5315
3.7656 6.7133 10.5315
3.8247 9.6363 8.4450
3.8247 12.5175 8.4450
4.5458 2.2517 2.8578
4.5458 5.1329 2.8578
4.6048 8.0559 4.9443
4.6048 14.0979 4.9443
5.1468 7.7199 2.1225
5.1468 14.4339 2.1225
5.1903 9.3950 0.0011
5.1903 12.7588 0.0011
```



Structure and theoretical PXRD pattern of Si2Cl2O3 (a crystal structure in the Materials Project, relaxed with GGA-PBE; Cu Kα (λ = 1.5418 Å)).
Peak positions follow from Bragg's law for the DFT cell and can differ from measured ones.

Most intense lines, 10 to 90 degrees two-theta, by angle:
2theta, Rel. int.
10.32, 1000
20.72, 361
22.12, 429
23.96, 388
24.23, 676
24.96, 408
31.30, 150
42.31, 186
49.06, 110
49.65, 111

Structural model:
```
Si2Cl2O3
1.0
6.4330 3.7141 4.4734
-6.4330 3.7141 4.4734
0.0000 -7.4282 4.4734
Si Cl O
8 8 12
Cartesian
-5.0177 1.5884 5.3759
-3.8845 -3.5513 8.0442
0.0000 0.0000 2.7152
1.1332 -5.1397 5.3759
-1.1332 5.1397 8.0442
0.0000 0.0000 10.7049
3.8845 3.5513 5.3759
5.0177 -1.5884 8.0442
-3.9496 0.0076 6.0417
-1.9814 -3.4166 7.3785
0.0000 0.0000 4.7326
1.9682 -3.4242 6.0417
-1.9682 3.4242 7.3785
0.0000 0.0000 8.6876
1.9814 3.4166 6.0417
3.9496 -0.0076 7.3785
-1.5341 -0.1261 2.1765
-0.1494 -4.7659 4.4443
-4.0527 2.5123 4.4443
0.8762 -1.2656 2.1765
-4.2021 -2.2536 8.9759
0.6579 1.3916 2.1765
-0.6579 -1.3916 11.2436
4.2021 2.2536 4.4443
-0.8762 1.2656 11.2436
4.0527 -2.5123 8.9759
0.1494 4.7659 8.9759
1.5341 0.1261 11.2436
```



Structure and theoretical PXRD pattern of Si6Cl10O7 (a crystal structure in the Materials Project, relaxed with GGA-PBE; Cu Kα (λ = 1.5418 Å)).
Peak positions follow from Bragg's law for the DFT cell and can differ from measured ones.

Most intense lines, 10 to 90 degrees two-theta, by angle:
2theta, Rel. int.
10.38, 487
14.51, 473
21.25, 403
21.69, 1000
23.13, 431
23.53, 673
24.32, 439
24.96, 462
25.06, 419
26.74, 437

Structural model:
```
Si6Cl10O7
1.0
6.4549 0.0000 0.0000
0.0000 21.4035 0.0000
-1.3937 0.0000 8.5251
Si Cl O
12 20 14
Cartesian
-0.0229 2.5446 0.4326
-0.0229 8.1572 0.4326
-0.1735 2.5875 5.9831
-0.1735 8.1142 5.9831
1.2377 5.3509 1.0111
1.1743 5.3509 6.6398
3.8869 16.0526 1.8853
3.8235 16.0526 7.5140
5.2348 13.2893 2.5420
5.2348 18.8160 2.5420
5.0841 13.2463 8.0925
5.0841 18.8589 8.0925
0.1934 13.2101 3.9933
0.1934 18.8951 3.9933
0.8983 1.1529 1.5929
0.8983 9.5489 1.5929
0.6334 12.9325 8.0492
0.6334 19.1727 8.0492
1.1750 1.1024 5.6869
1.1750 9.5993 5.6869
1.8636 16.0526 2.0726
2.4127 5.3509 2.6619
2.6485 16.0526 5.8632
3.1976 5.3509 6.4525
3.8862 11.8042 2.8382
3.8862 20.3011 2.8382
4.4278 2.2308 0.4759
4.4278 8.4710 0.4759
4.1629 11.8546 6.9321
4.1629 20.2506 6.9321
4.8678 2.5084 4.5318
4.8678 8.1934 4.5318
-0.8751 2.4063 7.4351
-0.8751 8.2954 7.4351
0.2841 4.0328 1.0123
0.2841 6.6689 1.0123
0.5749 4.0309 5.9075
0.5749 6.6708 5.9075
0.7964 5.3509 8.2173
4.2648 16.0526 0.3078
4.4863 14.7327 2.6176
4.4863 17.3726 2.6176
4.7771 14.7346 7.5128
4.7771 17.3707 7.5128
5.9363 13.1081 1.0900
5.9363 18.9972 1.0900
```



Structure and theoretical PXRD pattern of Sr2SiCl2O3 (a crystal structure in the Materials Project, relaxed with GGA-PBE; Cu Kα (λ = 1.5418 Å)).
Peak positions follow from Bragg's law for the DFT cell and can differ from measured ones.

Most intense lines, 10 to 90 degrees two-theta, by angle:
2theta, Rel. int.
18.35, 296
22.26, 144
24.93, 174
31.13, 1000
35.54, 348
37.19, 160
40.29, 188
45.29, 140
50.77, 222
63.30, 113

Structural model:
```
Sr2SiCl2O3
1.0
-5.6476 5.6476 4.8357
5.6476 -5.6476 4.8357
5.6476 5.6476 -4.8357
Sr Si Cl O
8 4 8 12
Cartesian
6.5673 -2.8123 2.6122
2.8353 -0.9197 2.2235
8.4599 0.9197 2.2235
0.9197 2.8353 2.2235
4.7279 2.8123 2.6122
-2.8123 4.7279 2.6122
2.8123 6.5674 2.6122
-0.9197 8.4599 2.2235
6.7381 3.5913 0.0000
3.5913 4.5571 0.0000
2.0563 1.0905 4.8357
-1.0905 2.0563 4.8357
2.8814 1.0888 0.0000
0.0000 0.0000 1.9442
5.6476 0.0000 2.4179
4.5588 -2.7662 4.8357
1.0888 8.4138 0.0000
0.0000 5.6476 2.4179
0.0000 0.0000 7.7273
2.7662 4.5588 4.8357
7.1077 2.8811 -1.4093
2.8811 4.1875 -1.4093
5.0793 3.7940 0.0000
7.1077 2.8811 1.4093
1.8536 -0.5683 4.8357
2.7665 1.4601 3.4264
2.8811 4.1875 1.4093
3.7940 6.2159 0.0000
-1.4601 2.7665 3.4264
0.5683 1.8536 4.8357
2.7665 1.4601 6.2451
-1.4601 2.7665 6.2451
```



Structure and theoretical PXRD pattern of Y3Si2ClO8 (a crystal structure in the Materials Project, relaxed with GGA-PBE; Cu Kα (λ = 1.5418 Å)).
Peak positions follow from Bragg's law for the DFT cell and can differ from measured ones.

Most intense lines, 10 to 90 degrees two-theta, by angle:
2theta, Rel. int.
19.79, 498
20.57, 441
25.76, 412
27.65, 334
29.92, 1000
31.84, 415
34.92, 554
47.79, 344
51.60, 474
69.25, 316

Structural model:
```
Y3Si2ClO8
1.0
6.9169 0.0000 0.0000
0.0000 17.9202 0.0000
0.0000 0.0000 6.2455
Y Si Cl O
12 8 4 32
Cartesian
0.1004 1.6170 0.7968
0.1004 7.3430 0.7968
1.4269 13.4401 2.4041
2.0316 4.4800 5.5269
3.3581 10.5771 3.9196
3.3581 16.3031 3.9196
3.5588 1.6170 2.3259
3.5588 7.3430 2.3259
4.8853 13.4401 0.7186
5.4900 4.4800 3.8413
6.8165 10.5771 5.4486
6.8165 16.3031 5.4486
0.1645 1.7890 3.8802
0.1645 7.1711 3.8802
3.2939 10.7491 0.7574
3.2939 16.1312 0.7574
3.6230 1.7890 5.4880
3.6230 7.1711 5.4880
6.7524 10.7491 2.3653
6.7524 16.1312 2.3653
0.2919 4.4800 1.4766
3.1666 13.4401 4.5993
3.7503 4.4800 1.6462
6.6250 13.4401 4.7689
0.0843 0.5498 4.9352
0.0843 8.4103 4.9352
0.2360 3.1566 4.8393
0.2360 5.8035 4.8393
1.1565 11.0757 3.3199
1.1565 15.8046 3.3199
1.3626 1.7013 2.7820
1.3626 7.2588 2.7820
2.0959 10.6614 5.9047
2.0959 16.2188 5.9047
2.3020 2.1156 0.1972
2.3020 6.8445 0.1972
3.2224 12.1166 1.7166
3.2224 14.7636 1.7166
3.3742 9.5099 1.8125
3.3742 17.3703 1.8125
3.5427 0.5498 4.4330
3.5427 8.4103 4.4330
3.6945 3.1566 4.5289
3.6945 5.8035 4.5289
4.6149 11.0757 6.0483
4.6149 15.8046 6.0483
4.8210 1.7013 0.3407
4.8210 7.2588 0.3407
5.5543 10.6614 3.4635
5.5543 16.2188 3.4635
5.7604 2.1156 2.9255
5.7604 6.8445 2.9255
6.6809 12.1166 1.4062
6.6809 14.7636 1.4062
6.8326 9.5099 1.3103
6.8326 17.3703 1.3103
```



Structure and theoretical PXRD pattern of Y3Si2Cl5O6 (a crystal structure in the Materials Project, relaxed with GGA-PBE; Cu Kα (λ = 1.5418 Å)).
Peak positions follow from Bragg's law for the DFT cell and can differ from measured ones.

Most intense lines, 10 to 90 degrees two-theta, by angle:
2theta, Rel. int.
16.99, 1000
23.36, 232
25.64, 241
32.13, 377
33.52, 222
34.33, 266
36.56, 219
38.57, 289
44.92, 222
47.75, 213

Structural model:
```
Y3Si2Cl5O6
1.0
5.3470 -5.2235 0.0000
5.3470 5.2235 0.0000
-2.6770 0.0000 11.4235
Y Si Cl O
6 4 10 12
Cartesian
1.3350 2.6117 5.7118
1.3348 2.6194 9.4857
6.6822 2.6194 1.9378
1.3350 -2.6117 5.7118
1.3348 -2.6194 9.4857
6.6822 -2.6194 1.9378
4.0099 3.6982 4.0631
4.0070 3.6982 7.3604
4.0099 -3.6982 4.0631
4.0070 -3.6982 7.3604
4.0067 2.8775 0.9004
1.8792 0.0000 1.8472
2.0256 0.0000 5.7300
4.0102 2.8775 10.5231
1.7647 0.0000 9.7709
6.2522 0.0000 1.6526
4.0067 -2.8775 0.9004
5.9913 0.0000 5.6935
6.1377 0.0000 9.5763
4.0102 -2.8775 10.5231
2.6039 2.9437 3.7482
-1.3577 0.0000 7.9336
2.6102 2.9245 7.6756
4.0085 3.7351 5.7118
5.4067 2.9245 3.7479
5.4130 2.9437 7.6753
2.6039 -2.9437 3.7482
2.6102 -2.9245 7.6756
4.0085 -3.7351 5.7118
5.4067 -2.9245 3.7479
9.3747 0.0000 3.4899
5.4130 -2.9437 7.6753
```